The following is a simulated X-ray diffraction stick pattern of Ho2BeB2Ir5. It was derived from DFT lattice parameters and positions (PBE), using CuKα.
Kinematic intensities with the Lorentz-polarization factor, no thermal factor.

```
data_Ho2BeB2Ir5
_chemical_formula_sum 'Ho4 Be2 B4 Ir10'
_cell_length_a 9.510
_cell_length_b 9.510
_cell_length_c 3.070
_cell_angle_alpha 90.00
_cell_angle_beta 90.00
_cell_angle_gamma 90.00
_symmetry_space_group_name_H-M 'P 4/m b m'
_symmetry_Int_Tables_number 127
_symmetry_space_group_name_Hall '-P 4 2ab'
loop_
_atom_site_label
_atom_site_fract_x
_atom_site_fract_y
_atom_site_fract_z
Ho1 0.177 0.323 0.000
Be1 0.000 0.000 0.000
B1 0.125 0.625 0.000
Ir1 0.000 0.500 0.500
Ir2 0.066 0.788 0.500
```

Principal peaks in the range 2θ = 15–90°, by intensity:
2θ 39.05, rel. 100.0; 2θ 42.06, rel. 79.9; 2θ 36.09, rel. 73.6; 2θ 45.33, rel. 41.9; 2θ 40.23, rel. 34.0; 2θ 29.09, rel. 32.2